Pm2FeS2O2: calculated X-ray powder pattern (Cu Kα (λ = 1.5418 Å)), based on a cell relaxed with GGA+U.
No peak broadening, texture or thermal motion is included.

Structure:
a b c (Å): 5.958 5.958 6.814
angles (deg): 119.22 119.22 37.35
Atoms (fractional coordinates):
1 Pm 0.190 0.190 0.232
2 Pm 0.810 0.810 0.768
3 Fe 0.000 0.000 0.500
4 S 0.437 0.437 0.175
5 S 0.563 0.563 0.825
6 O 0.196 0.196 0.583
7 O 0.804 0.804 0.417

Top 10 peaks for 15 to 90 degrees two-theta, sorted by position:
two_theta  d/Å  I (rel.)
18.3  4.837  157
26.3  3.389  242
26.8  3.325  271
30.6  2.920  163
31.9  2.805  1000
36.5  2.463  222
37.4  2.406  326
47.7  1.908  152
48.9  1.862  152
53.1  1.726  169